Diffraction record for YNbN2O. The powder X-ray diffraction pattern is computed, not measured: it uses a structure optimized by DFT (GGA-PBE) and Cu Kα (λ = 1.5418 Å).

Largest 10 diffraction maxima, in order of rising 2θ, 5° ≤ 2θ ≤ 70°:
2θ/deg  Rel. int.
18.5  19
29.7  51
29.9  50
30.3  100
33.5  71
37.6  21
47.3  23
48.7  21
51.0  26
51.4  26

a b c (Å): 3.8416 3.7371 4.7847
angles (deg): 90.00 90.46 90.00
Space group Pm (No. 6)
Unique sites:
Y1 0.0000 0.0000 0.0000
Nb1 0.5096 0.5000 0.4339
N1 0.0074 0.5000 0.3008
N2 0.5172 0.5000 0.8239
O1 0.5040 0.0000 0.2715